This entry pairs a crystal structure of AcCe2Ga4 with its simulated XRD peak list. Radiation: Cu Kα, 1.54184 Å. Structure: the PBE geometry in Alexandria.
Peak positions follow from Bragg's law for the DFT cell and can differ from measured ones.

Principal peaks in the range 10 to 90 degrees two-theta, in order of rising 2θ:
2θ 25.22, intensity 24, (1 0 3); 2θ 28.28, intensity 16, (0 0 6); 2θ 30.44, intensity 100, (1 1 2); 2θ 30.90, intensity 52, (0 1 5); 2θ 34.68, intensity 24, (1 1 4); 2θ 39.46, intensity 31, (1 0 7); 2θ 40.22, intensity 24, (0 2 0); 2θ 42.44, intensity 21, (2 0 0); 2θ 53.41, intensity 23, (2 1 5); 2θ 57.61, intensity 21, (1 2 7)

Atomic structure:
a b c (Å): 4.2598 4.4846 18.9371
angles (deg): 90.00 90.00 90.00
Space group Immm (No. 71)
One atom of each set of equivalent atoms:
Ac 0.0000 0.0000 0.0000
Ce 0.0000 0.5000 0.3123
Ga 0.0000 0.0000 0.4311
Ga 0.0000 0.5000 0.1465